For CaMg6Co, the GGA-PBE geometry in the Materials Project gives the theoretical X-ray diffraction stick pattern in this record (Cu Kα (λ = 1.5418 Å)).
Lines closer than 0.1° are merged.

Largest 8 diffraction maxima, by intensity, 2θ from 5° to 70°:
- hkl 1 2 2, 2θ 37.49, d 2.399, rel. 100.0
- hkl 1 0 4, 2θ 35.37, d 2.538, rel. 54.8
- hkl 0 2 2, 2θ 32.50, d 2.755, rel. 49.6
- hkl 2 0 0, 2θ 36.81, d 2.442, rel. 40.6
- hkl 0 1 1, 2θ 16.09, d 5.508, rel. 29.1
- hkl 2 2 2, 2θ 49.91, d 1.827, rel. 17.7
- hkl 3 2 2, 2θ 66.75, d 1.401, rel. 16.5
- hkl 1 0 2, 2θ 23.58, d 3.773, rel. 15.5

Atomic structure:
```
CaMg6Co
1.0
4.884 0.000 0.000
0.000 6.216 0.000
0.000 0.000 11.882
Ca Mg Co
2 12 2
Direct
0.000 0.000 0.000
0.000 0.500 0.500
0.000 0.000 0.535
0.000 0.242 0.774
0.000 0.258 0.274
0.000 0.500 0.035
0.000 0.742 0.274
0.000 0.758 0.774
0.500 0.000 0.377
0.500 0.241 0.637
0.500 0.259 0.137
0.500 0.500 0.877
0.500 0.741 0.137
0.500 0.759 0.637
0.500 0.000 0.829
0.500 0.500 0.329
```